For DyTlZn, a structure optimized by DFT (PBE) gives the theoretical X-ray powder pattern in this record (Cu Kα (weighted mean of Kα1 and Kα2)).
Peak positions follow from Bragg's law for the DFT cell and can differ from measured ones.

The 12 most intense peaks (2θ = 10–80°), in order of rising 2θ:
2θ = 22.65°, d 3.925, intensity 70; 2θ = 23.48°, d 3.789, intensity 16; 2θ = 33.60°, d 2.667, intensity 84; 2θ = 36.41°, d 2.468, intensity 98; 2θ = 39.27°, d 2.294, intensity 100; 2θ = 45.81°, d 1.981, intensity 11; 2θ = 52.62°, d 1.739, intensity 26; 2θ = 54.63°, d 1.680, intensity 43; 2θ = 61.89°, d 1.499, intensity 9; 2θ = 67.59°, d 1.386, intensity 23; 2θ = 69.34°, d 1.355, intensity 65; 2θ = 71.19°, d 1.325, intensity 17

Structure:
Cell lengths 8.804, 8.804, 8.804 Å; angles 30.21, 30.21, 30.21 degrees
Element x y z (fractional)
Dy (0.067, 0.067, 0.067)
Dy (0.933, 0.933, 0.933)
Tl (0.197, 0.197, 0.197)
Tl (0.803, 0.803, 0.803)
Zn (0.328, 0.328, 0.328)
Zn (0.672, 0.672, 0.672)



For Dy6TlZn2, a structure optimized by DFT (PBE) gives the theoretical X-ray powder pattern in this record (Cu Kα (weighted mean of Kα1 and Kα2)).
Peak positions follow from Bragg's law for the DFT cell and can differ from measured ones.

The 12 most intense peaks (2θ = 10–80°), in order of rising 2θ:
2θ = 27.67°, d 3.224, intensity 10; 2θ = 28.69°, d 3.112, intensity 16; 2θ = 31.16°, d 2.870, intensity 100; 2θ = 33.21°, d 2.697, intensity 29; 2θ = 33.91°, d 2.644, intensity 37; 2θ = 34.19°, d 2.622, intensity 27; 2θ = 35.02°, d 2.562, intensity 16; 2θ = 36.49°, d 2.463, intensity 27; 2θ = 51.47°, d 1.775, intensity 10; 2θ = 52.82°, d 1.733, intensity 10; 2θ = 57.58°, d 1.601, intensity 28; 2θ = 60.40°, d 1.533, intensity 10

Structure:
Cell lengths 8.619, 8.619, 8.619 Å; angles 111.11, 110.30, 107.04 degrees
Element x y z (fractional)
Dy (0.028, 0.817, 0.212)
Dy (0.241, 0.533, 0.293)
Dy (0.241, 0.948, 0.707)
Dy (0.275, 0.316, 0.591)
Dy (0.275, 0.684, 0.958)
Dy (0.395, 0.183, 0.212)
Dy (0.605, 0.817, 0.788)
Dy (0.725, 0.316, 0.042)
Dy (0.725, 0.684, 0.409)
Dy (0.759, 0.052, 0.293)
Dy (0.759, 0.467, 0.707)
Dy (0.972, 0.183, 0.788)
Tl (0.000, 0.500, 0.500)
Tl (0.500, 0.000, 0.500)
Zn (0.000, 0.136, 0.136)
Zn (0.000, 0.864, 0.864)
Zn (0.376, 0.376, 0.000)
Zn (0.624, 0.624, 0.000)



For Dy2Tm3, a structure optimized by DFT (PBE) gives the theoretical X-ray powder pattern in this record (Cu Kα (weighted mean of Kα1 and Kα2)).
Peak positions follow from Bragg's law for the DFT cell and can differ from measured ones.

The 12 most intense peaks (2θ = 10–80°), in order of rising 2θ:
2θ = 28.81°, d 3.098, intensity 24; 2θ = 32.20°, d 2.780, intensity 24; 2θ = 33.10°, d 2.706, intensity 100; 2θ = 43.75°, d 2.069, intensity 16; 2θ = 51.06°, d 1.789, intensity 20; 2θ = 57.99°, d 1.590, intensity 20; 2θ = 59.69°, d 1.549, intensity 3; 2θ = 61.66°, d 1.504, intensity 23; 2θ = 62.21°, d 1.492, intensity 16; 2θ = 67.38°, d 1.390, intensity 3; 2θ = 69.46°, d 1.353, intensity 4; 2θ = 74.88°, d 1.268, intensity 3

Structure:
Cell lengths 6.612, 6.612, 9.060 Å; angles 107.57, 107.57, 55.88 degrees
Element x y z (fractional)
Dy (0.068, 0.733, 0.550)
Dy (0.267, 0.932, 0.950)
Dy (0.733, 0.068, 0.050)
Dy (0.932, 0.267, 0.450)
Tm (0.133, 0.465, 0.850)
Tm (0.335, 0.665, 0.250)
Tm (0.465, 0.133, 0.350)
Tm (0.535, 0.867, 0.650)
Tm (0.665, 0.335, 0.750)
Tm (0.867, 0.535, 0.150)



For Dy13Tm3, a structure optimized by DFT (PBE) gives the theoretical X-ray powder pattern in this record (Cu Kα (weighted mean of Kα1 and Kα2)).
Peak positions follow from Bragg's law for the DFT cell and can differ from measured ones.

The 12 most intense peaks (2θ = 10–80°), in order of rising 2θ:
2θ = 28.59°, d 3.122, intensity 24; 2θ = 32.01°, d 2.796, intensity 24; 2θ = 32.86°, d 2.726, intensity 100; 2θ = 43.45°, d 2.083, intensity 15; 2θ = 50.65°, d 1.802, intensity 20; 2θ = 57.60°, d 1.600, intensity 20; 2θ = 61.18°, d 1.515, intensity 23; 2θ = 61.66°, d 1.504, intensity 11; 2θ = 61.77°, d 1.502, intensity 6; 2θ = 66.94°, d 1.398, intensity 3; 2θ = 68.90°, d 1.363, intensity 4; 2θ = 74.35°, d 1.276, intensity 3

Structure:
Cell lengths 7.217, 8.376, 8.376 Å; angles 83.75, 90.00, 90.00 degrees
Element x y z (fractional)
Dy (0.000, 0.000, 0.000)
Dy (0.000, 0.415, 0.918)
Dy (0.000, 0.499, 0.499)
Dy (0.000, 0.918, 0.415)
Dy (0.250, 0.167, 0.665)
Dy (0.250, 0.665, 0.167)
Dy (0.250, 0.749, 0.749)
Dy (0.500, 0.000, 0.000)
Dy (0.500, 0.416, 0.917)
Dy (0.500, 0.917, 0.416)
Dy (0.750, 0.167, 0.665)
Dy (0.750, 0.665, 0.167)
Dy (0.750, 0.749, 0.749)
Tm (0.250, 0.250, 0.250)
Tm (0.500, 0.499, 0.499)
Tm (0.750, 0.250, 0.250)



For Dy6Tm5, a structure optimized by DFT (PBE) gives the theoretical X-ray powder pattern in this record (Cu Kα (weighted mean of Kα1 and Kα2)).
Peak positions follow from Bragg's law for the DFT cell and can differ from measured ones.

The 12 most intense peaks (2θ = 10–80°), in order of rising 2θ:
2θ = 29.45°, d 3.033, intensity 39; 2θ = 31.11°, d 2.875, intensity 58; 2θ = 31.72°, d 2.821, intensity 100; 2θ = 35.32°, d 2.541, intensity 38; 2θ = 35.84°, d 2.505, intensity 32; 2θ = 36.71°, d 2.448, intensity 24; 2θ = 53.31°, d 1.718, intensity 17; 2θ = 57.29°, d 1.608, intensity 25; 2θ = 59.63°, d 1.551, intensity 12; 2θ = 62.26°, d 1.491, intensity 13; 2θ = 64.82°, d 1.438, intensity 17; 2θ = 66.67°, d 1.403, intensity 12

Structure:
Cell lengths 7.881, 7.881, 6.170 Å; angles 100.21, 100.21, 109.33 degrees
Element x y z (fractional)
Dy (0.046, 0.316, 0.666)
Dy (0.171, 0.171, 0.178)
Dy (0.316, 0.046, 0.666)
Dy (0.684, 0.954, 0.334)
Dy (0.829, 0.829, 0.822)
Dy (0.954, 0.684, 0.334)
Tm (0.241, 0.759, 0.000)
Tm (0.373, 0.627, 0.500)
Tm (0.500, 0.500, 0.000)
Tm (0.627, 0.373, 0.500)
Tm (0.759, 0.241, 0.000)



For Dy5Tm2, a structure optimized by DFT (PBE) gives the theoretical X-ray powder pattern in this record (Cu Kα (weighted mean of Kα1 and Kα2)).
Peak positions follow from Bragg's law for the DFT cell and can differ from measured ones.

The 10 most intense peaks (2θ = 10–80°), in order of rising 2θ:
2θ = 31.14°, d 2.873, intensity 100; 2θ = 36.06°, d 2.491, intensity 34; 2θ = 36.20°, d 2.482, intensity 17; 2θ = 51.96°, d 1.760, intensity 24; 2θ = 52.04°, d 1.757, intensity 12; 2θ = 61.79°, d 1.501, intensity 29; 2θ = 61.97°, d 1.497, intensity 14; 2θ = 64.93°, d 1.436, intensity 12; 2θ = 76.49°, d 1.245, intensity 4; 2θ = 76.82°, d 1.241, intensity 2

Structure:
Cell lengths 3.514, 7.876, 8.621 Å; angles 111.44, 90.19, 102.89 degrees
Element x y z (fractional)
Dy (0.000, 0.000, 0.000)
Dy (0.143, 0.286, 0.428)
Dy (0.428, 0.856, 0.285)
Dy (0.572, 0.144, 0.715)
Dy (0.857, 0.714, 0.572)
Tm (0.286, 0.571, 0.858)
Tm (0.714, 0.429, 0.142)



For Dy7Tm2, a structure optimized by DFT (PBE) gives the theoretical X-ray powder pattern in this record (Cu Kα (weighted mean of Kα1 and Kα2)).
Peak positions follow from Bragg's law for the DFT cell and can differ from measured ones.

The 12 most intense peaks (2θ = 10–80°), in order of rising 2θ:
2θ = 28.37°, d 3.146, intensity 11; 2θ = 31.61°, d 2.831, intensity 78; 2θ = 32.27°, d 2.774, intensity 100; 2θ = 33.44°, d 2.680, intensity 28; 2θ = 38.46°, d 2.341, intensity 19; 2θ = 45.80°, d 1.981, intensity 22; 2θ = 52.22°, d 1.752, intensity 10; 2θ = 54.75°, d 1.676, intensity 22; 2θ = 57.13°, d 1.612, intensity 19; 2θ = 57.55°, d 1.602, intensity 14; 2θ = 61.70°, d 1.503, intensity 11; 2θ = 62.73°, d 1.481, intensity 30

Structure:
Cell lengths 9.610, 9.610, 3.503 Å; angles 90.00, 90.00, 120.00 degrees
Element x y z (fractional)
Dy (0.000, 0.000, 0.000)
Dy (0.000, 0.303, 0.500)
Dy (0.000, 0.636, 0.000)
Dy (0.303, 0.000, 0.500)
Dy (0.364, 0.364, 0.000)
Dy (0.636, 0.000, 0.000)
Dy (0.697, 0.697, 0.500)
Tm (0.333, 0.667, 0.500)
Tm (0.667, 0.333, 0.500)



For Dy7Tm2, a structure optimized by DFT (PBE) gives the theoretical X-ray powder pattern in this record (Cu Kα (weighted mean of Kα1 and Kα2)).
Peak positions follow from Bragg's law for the DFT cell and can differ from measured ones.

The 6 most intense peaks (2θ = 10–80°), in order of rising 2θ:
2θ = 31.10°, d 2.876, intensity 100; 2θ = 36.07°, d 2.490, intensity 51; 2θ = 51.93°, d 1.761, intensity 36; 2θ = 61.78°, d 1.502, intensity 43; 2θ = 64.85°, d 1.438, intensity 12; 2θ = 76.51°, d 1.245, intensity 6

Structure:
Cell lengths 6.102, 6.102, 8.621 Å; angles 90.00, 90.00, 120.00 degrees
Element x y z (fractional)
Dy (0.000, 0.000, 0.000)
Dy (0.000, 0.334, 0.668)
Dy (0.000, 0.666, 0.332)
Dy (0.334, 0.000, 0.668)
Dy (0.334, 0.334, 0.332)
Dy (0.666, 0.000, 0.332)
Dy (0.666, 0.666, 0.668)
Tm (0.333, 0.667, 0.000)
Tm (0.667, 0.333, 0.000)



For Dy5Y12Tm, a structure optimized by DFT (PBE) gives the theoretical X-ray powder pattern in this record (Cu Kα (weighted mean of Kα1 and Kα2)).
Peak positions follow from Bragg's law for the DFT cell and can differ from measured ones.

The 12 most intense peaks (2θ = 10–80°), in order of rising 2θ:
2θ = 11.73°, d 7.543, intensity 10; 2θ = 23.59°, d 3.772, intensity 2; 2θ = 25.71°, d 3.465, intensity 6; 2θ = 30.77°, d 2.905, intensity 100; 2θ = 35.68°, d 2.516, intensity 50; 2θ = 37.67°, d 2.388, intensity 3; 2θ = 39.14°, d 2.302, intensity 3; 2θ = 51.35°, d 1.779, intensity 35; 2θ = 61.07°, d 1.517, intensity 41; 2θ = 64.10°, d 1.453, intensity 12; 2θ = 75.46°, d 1.260, intensity 2; 2θ = 75.64°, d 1.257, intensity 4

Structure:
Cell lengths 10.679, 10.679, 5.030 Å; angles 90.00, 90.00, 90.11 degrees
Element x y z (fractional)
Dy (0.000, 0.000, 0.000)
Dy (0.167, 0.833, 0.500)
Dy (0.334, 0.666, 0.000)
Dy (0.666, 0.334, 0.000)
Dy (0.833, 0.167, 0.500)
Y (0.001, 0.667, 0.000)
Y (0.166, 0.166, 0.500)
Y (0.168, 0.501, 0.500)
Y (0.333, 0.999, 0.000)
Y (0.335, 0.335, 0.000)
Y (0.499, 0.832, 0.500)
Y (0.501, 0.168, 0.500)
Y (0.665, 0.665, 0.000)
Y (0.667, 0.001, 0.000)
Y (0.832, 0.499, 0.500)
Y (0.834, 0.834, 0.500)
Y (0.999, 0.333, 0.000)
Tm (0.500, 0.500, 0.500)



For Dy7Y4Tm, a structure optimized by DFT (PBE) gives the theoretical X-ray powder pattern in this record (Cu Kα (weighted mean of Kα1 and Kα2)).
Peak positions follow from Bragg's law for the DFT cell and can differ from measured ones.

The 12 most intense peaks (2θ = 10–80°), in order of rising 2θ:
2θ = 29.01°, d 3.078, intensity 44; 2θ = 31.35°, d 2.853, intensity 48; 2θ = 32.06°, d 2.792, intensity 100; 2θ = 33.77°, d 2.654, intensity 88; 2θ = 40.45°, d 2.230, intensity 18; 2θ = 45.89°, d 1.978, intensity 13; 2θ = 51.03°, d 1.790, intensity 37; 2θ = 55.13°, d 1.666, intensity 22; 2θ = 58.47°, d 1.579, intensity 18; 2θ = 61.13°, d 1.516, intensity 36; 2θ = 61.55°, d 1.507, intensity 15; 2θ = 62.60°, d 1.484, intensity 15

Structure:
Cell lengths 6.201, 7.158, 8.805 Å; angles 90.01, 103.56, 90.01 degrees
Element x y z (fractional)
Dy (0.000, 0.000, 0.000)
Dy (0.221, 0.500, 0.666)
Dy (0.276, 0.251, 0.333)
Dy (0.499, 0.251, 0.001)
Dy (0.501, 0.749, 0.999)
Dy (0.724, 0.749, 0.667)
Dy (0.779, 0.500, 0.334)
Y (0.223, 0.000, 0.666)
Y (0.279, 0.748, 0.334)
Y (0.721, 0.252, 0.666)
Y (0.777, 0.000, 0.334)
Tm (0.000, 0.500, 0.000)



For Dy3Y2Tm3, a structure optimized by DFT (PBE) gives the theoretical X-ray powder pattern in this record (Cu Kα (weighted mean of Kα1 and Kα2)).
Peak positions follow from Bragg's law for the DFT cell and can differ from measured ones.

The 12 most intense peaks (2θ = 10–80°), in order of rising 2θ:
2θ = 17.75°, d 4.996, intensity 1; 2θ = 25.25°, d 3.528, intensity 1; 2θ = 26.79°, d 3.327, intensity 2; 2θ = 31.03°, d 2.882, intensity 100; 2θ = 35.99°, d 2.496, intensity 50; 2θ = 37.13°, d 2.421, intensity 3; 2θ = 51.81°, d 1.765, intensity 36; 2θ = 59.27°, d 1.559, intensity 1; 2θ = 61.63°, d 1.505, intensity 42; 2θ = 64.69°, d 1.441, intensity 12; 2θ = 76.27°, d 1.248, intensity 4; 2θ = 76.40°, d 1.247, intensity 2

Structure:
Cell lengths 4.987, 4.991, 19.985 Å; angles 90.00, 90.00, 90.00 degrees
Element x y z (fractional)
Dy (0.000, 0.000, 0.000)
Dy (0.000, 0.500, 0.123)
Dy (0.000, 0.500, 0.877)
Dy (0.500, 0.000, 0.377)
Dy (0.500, 0.000, 0.623)
Dy (0.500, 0.500, 0.500)
Y (0.000, 0.000, 0.250)
Y (0.000, 0.000, 0.750)
Y (0.500, 0.500, 0.250)
Y (0.500, 0.500, 0.750)
Tm (0.000, 0.000, 0.500)
Tm (0.000, 0.500, 0.376)
Tm (0.000, 0.500, 0.624)
Tm (0.500, 0.000, 0.124)
Tm (0.500, 0.000, 0.876)
Tm (0.500, 0.500, 0.000)



For Dy2YTm, a structure optimized by DFT (PBE) gives the theoretical X-ray powder pattern in this record (Cu Kα (weighted mean of Kα1 and Kα2)).
Peak positions follow from Bragg's law for the DFT cell and can differ from measured ones.

The 12 most intense peaks (2θ = 10–80°), in order of rising 2θ:
2θ = 14.68°, d 6.034, intensity 3; 2θ = 15.33°, d 5.780, intensity 1; 2θ = 19.36°, d 4.585, intensity 1; 2θ = 30.98°, d 2.887, intensity 100; 2θ = 35.93°, d 2.500, intensity 50; 2θ = 51.68°, d 1.769, intensity 24; 2θ = 51.78°, d 1.766, intensity 12; 2θ = 61.49°, d 1.508, intensity 32; 2θ = 61.59°, d 1.506, intensity 11; 2θ = 64.53°, d 1.444, intensity 9; 2θ = 64.70°, d 1.441, intensity 3; 2θ = 76.16°, d 1.250, intensity 6

Structure:
Cell lengths 12.262, 7.074, 6.113 Å; angles 90.00, 109.48, 90.00 degrees
Element x y z (fractional)
Dy (0.249, 0.125, 0.247)
Dy (0.249, 0.875, 0.747)
Dy (0.251, 0.375, 0.753)
Dy (0.251, 0.625, 0.253)
Dy (0.749, 0.375, 0.747)
Dy (0.749, 0.625, 0.247)
Dy (0.751, 0.125, 0.253)
Dy (0.751, 0.875, 0.753)
Y (0.000, 0.374, 0.250)
Y (0.000, 0.626, 0.750)
Y (0.500, 0.126, 0.750)
Y (0.500, 0.874, 0.250)
Tm (0.000, 0.124, 0.750)
Tm (0.000, 0.876, 0.250)
Tm (0.500, 0.376, 0.250)
Tm (0.500, 0.624, 0.750)



For Dy8YTm2, a structure optimized by DFT (PBE) gives the theoretical X-ray powder pattern in this record (Cu Kα (weighted mean of Kα1 and Kα2)).
Peak positions follow from Bragg's law for the DFT cell and can differ from measured ones.

The 12 most intense peaks (2θ = 10–80°), in order of rising 2θ:
2θ = 27.73°, d 3.218, intensity 20; 2θ = 31.87°, d 2.808, intensity 100; 2θ = 32.00°, d 2.797, intensity 80; 2θ = 33.42°, d 2.681, intensity 89; 2θ = 43.51°, d 2.080, intensity 14; 2θ = 47.99°, d 1.896, intensity 32; 2θ = 55.95°, d 1.643, intensity 12; 2θ = 58.68°, d 1.573, intensity 20; 2θ = 58.81°, d 1.570, intensity 32; 2θ = 64.27°, d 1.449, intensity 27; 2θ = 65.20°, d 1.431, intensity 13; 2θ = 66.61°, d 1.404, intensity 12

Structure:
Cell lengths 5.362, 8.321, 8.321 Å; angles 104.80, 90.00, 90.00 degrees
Element x y z (fractional)
Dy (0.000, 0.000, 0.000)
Dy (0.000, 0.328, 0.328)
Dy (0.000, 0.409, 0.917)
Dy (0.000, 0.917, 0.409)
Dy (0.500, 0.363, 0.634)
Dy (0.500, 0.634, 0.363)
Dy (0.500, 0.693, 0.965)
Dy (0.500, 0.965, 0.693)
Y (0.000, 0.664, 0.664)
Tm (0.500, 0.044, 0.283)
Tm (0.500, 0.283, 0.044)